MgIn3: simulated powder diffractogram (Cu Kα), based on a crystal structure in Alexandria, relaxed with GGA-PBE.

Top 10 peaks for 15 to 90 degrees two-theta, in order of rising 2θ:
Position (°2θ)	d/Å	I (rel.)	(hkl)
15.99	5.542	17.4	0 2 0
32.30	2.772	78.5	0 4 0
33.29	2.691	24.1	1 1 2
34.71	2.584	70.8	2 2 0
36.21	2.481	100.0	1 2 2
46.31	1.961	16.1	1 4 2
55.45	1.657	22.3	3 0 2
60.19	1.537	22.4	1 6 2
65.65	1.422	26.0	3 4 2
69.90	1.346	16.0	2 2 4

Structural model:
```
MgIn3
1.0
5.8441 0.0000 0.0000
0.0000 11.0835 0.0000
0.0000 0.0000 6.3044
Mg In
4 12
direct
0.0813 0.2500 0.1154 Mg
0.4187 0.7500 0.6154 Mg
0.5813 0.2500 0.3846 Mg
0.9187 0.7500 0.8846 Mg
0.0689 0.2500 0.6177 In
0.2444 0.5071 0.8683 In
0.2444 0.9929 0.8683 In
0.2556 0.0071 0.3683 In
0.2556 0.4929 0.3683 In
0.4311 0.7500 0.1177 In
0.5689 0.2500 0.8823 In
0.7444 0.5071 0.6317 In
0.7444 0.9929 0.6317 In
0.7556 0.0071 0.1317 In
0.7556 0.4929 0.1317 In
0.9311 0.7500 0.3823 In
```